Starting from a crystal structure in Alexandria, relaxed with PBE+U, the powder XRD pattern of NaCo3P3O13 was computed for CuKα.
Lines closer than 0.1° are merged.

Largest 10 diffraction maxima, in order of falling intensity, 5° ≤ 2θ ≤ 70°:
- d = 4.563 Å, 2θ = 19.45°, I 100, (1 0 -2)
- d = 2.883 Å, 2θ = 31.02°, I 67, (1 0 3)
- d = 3.698 Å, 2θ = 24.07°, I 64, (2 0 0)
- d = 3.295 Å, 2θ = 27.06°, I 59, (2 0 1)
- d = 3.049 Å, 2θ = 29.29°, I 58, (0 2 0)
- d = 2.501 Å, 2θ = 35.91°, I 53, (3 0 -1)
- d = 5.222 Å, 2θ = 16.98°, I 46, (0 1 1)
- d = 2.670 Å, 2θ = 33.56°, I 41, (1 2 1)
- d = 3.871 Å, 2θ = 22.97°, I 38, (1 0 2)
- d = 2.950 Å, 2θ = 30.30°, I 37, (0 1 3)

Structure:
a b c (Å): 7.520 6.099 10.268
angles (deg): 90.00 100.08 90.00
Space group P2_1/m (No. 11)
Asymmetric unit:
Na: 0.167 0.250 0.197
Co: 0.127 0.250 0.801
Co: 0.278 0.750 0.439
Co: 0.500 0.000 0.000
P: 0.201 0.750 0.114
P: 0.251 0.750 0.762
P: 0.287 0.250 0.523
O: 0.004 0.750 0.038
O: 0.133 0.554 0.788
O: 0.143 0.250 0.610
O: 0.158 0.750 0.259
O: 0.252 0.052 0.424
O: 0.306 0.539 0.093
O: 0.322 0.750 0.633
O: 0.382 0.250 0.913
O: 0.421 0.750 0.880
O: 0.478 0.250 0.605